Structure and simulated PXRD pattern of Ca3ThIr8 (the PBE geometry in Alexandria; Cu Kα).
No peak broadening, texture or thermal motion is included.

Cell and atoms:
Lattice parameters (Å, degrees): 9.342 9.342 9.342 33.54 33.54 33.54
Element x y z (fractional)
Ca  0.000  0.000  0.000
Ca  0.122  0.122  0.122
Ca  0.493  0.493  0.493
Th  0.621  0.621  0.621
Ir  0.058  0.058  0.560
Ir  0.058  0.559  0.559
Ir  0.058  0.560  0.058
Ir  0.309  0.309  0.309
Ir  0.559  0.058  0.559
Ir  0.559  0.559  0.058
Ir  0.560  0.058  0.058
Ir  0.809  0.809  0.809

Principal peaks in the range 10 to 90 degrees two-theta, most intense first:
- 2θ 39.18, 2.299 Å, rel. 100.0
- 2θ 41.00, 2.201 Å, rel. 66.9
- 2θ 20.17, 4.402 Å, rel. 47.1
- 2θ 63.38, 1.467 Å, rel. 32.7
- 2θ 69.77, 1.348 Å, rel. 31.3
- 2θ 84.23, 1.150 Å, rel. 26.2
- 2θ 47.71, 1.906 Å, rel. 19.2
- 2θ 52.30, 1.749 Å, rel. 12.2
- 2θ 83.05, 1.163 Å, rel. 11.7
- 2θ 33.23, 2.696 Å, rel. 9.4
- 2θ 73.47, 1.289 Å, rel. 9.1
- 2θ 10.04, 8.808 Å, rel. 6.1